Record 1
# Pm2CdGa
Calculated XRD peak list, CuKα. Input: a cell relaxed with GGA-PBE.
No peak broadening, texture or thermal motion is included.

Structure:
```
data_Pm2CdGa
_chemical_formula_sum 'Pm8 Cd4 Ga4'
_space_group_name_H-M_alt 'F m -3 m'
_space_group_IT_number 225
_space_group_name_Hall '-F 4 2 3'
_cell_length_a 7.5134
_cell_length_b 7.5134
_cell_length_c 7.5134
_cell_angle_alpha 90.00
_cell_angle_beta 90.00
_cell_angle_gamma 90.00
loop_
_atom_site_label
_atom_site_type_symbol
_atom_site_fract_x
_atom_site_fract_y
_atom_site_fract_z
Pm1 Pm 0.2500 0.2500 0.2500
Cd1 Cd 0.0000 0.0000 0.0000
Ga1 Ga 0.0000 0.0000 0.5000
```

Principal peaks in the range 5 to 70 degrees two-theta, by angle:
Position (°2θ), Rel. int., (hkl)
20.47, 2, 1 1 1
23.68, 6, 2 0 0
33.74, 100, 2 2 0
39.79, 1, 3 1 1
41.64, 2, 2 2 2
48.46, 18, 4 0 0
54.63, 3, 4 2 0
60.35, 37, 4 2 2


Record 2
# PrS2
Calculated XRD peak list, CuKα. Input: a cell relaxed with GGA-PBE.
No peak broadening, texture or thermal motion is included.

Structure:
```
data_PrS2
_chemical_formula_sum 'Pr8 S16'
_space_group_name_H-M_alt 'P n m a'
_space_group_IT_number 62
_cell_length_a 8.0862
_cell_length_b 16.3667
_cell_length_c 4.1033
_cell_angle_alpha 90.00
_cell_angle_beta 90.00
_cell_angle_gamma 90.00
loop_
_space_group_symop_operation_xyz
'x,y,z'
'-x,-y,-z'
'-x+1/2,-y,z+1/2'
'x+1/2,y,-z+1/2'
'x+1/2,-y+1/2,-z+1/2'
'-x+1/2,y+1/2,z+1/2'
'-x,y+1/2,-z'
'x,-y+1/2,z'
loop_
_atom_site_label
_atom_site_type_symbol
_atom_site_fract_x
_atom_site_fract_y
_atom_site_fract_z
Pr1 Pr 0.1287 0.1120 0.2182
S1 S 0.1009 0.2500 0.6645
S2 S 0.1093 0.7500 0.6437
S3 S 0.1253 0.5665 0.2410
```

Principal peaks in the range 5 to 70 degrees two-theta, by angle:
Position (°2θ), Rel. int., (hkl)
21.72, 44, 0 4 0
22.34, 43, 0 1 1
22.65, 44, 2 1 0
27.19, 37, 0 3 1
27.46, 37, 2 3 0
31.05, 73, 2 0 1
38.22, 100, 2 4 1
44.81, 51, 4 0 0